Entry 1:
# Rb2ScAuI6
Calculated powder XRD pattern, Cu Kα X-rays. Input: a GGA-PBE-relaxed structure.
Neutral-atom scattering factors, no anomalous dispersion.

Principal peaks in the range 10 to 90 degrees two-theta, by angle:
- 14.57°, I = 21.6
- 15.12°, I = 39.1
- 26.02°, I = 100.0
- 29.38°, I = 52.6
- 30.50°, I = 97.2
- 42.86°, I = 74.1
- 43.68°, I = 35.8
- 51.55°, I = 29.2
- 53.52°, I = 38.3
- 79.67°, I = 24.1

```
Rb2ScAuI6
1.0
-4.144 4.144 6.081
4.144 -4.144 6.081
4.144 4.144 -6.081
Rb Sc Au I
2 1 1 6
Cartesian
4.144 0.000 3.040
0.000 4.144 3.040
0.000 0.000 0.000
0.000 0.000 6.081
0.000 0.000 2.891
2.063 2.063 0.000
2.081 -2.081 6.081
-2.081 2.081 6.081
2.081 2.081 6.081
0.000 0.000 9.271
```

Entry 2:
# Rb2SrAuI6
Calculated powder XRD pattern, Cu Kα X-rays. Input: a GGA-PBE-relaxed structure.
Neutral-atom scattering factors, no anomalous dispersion.

Principal peaks in the range 10 to 90 degrees two-theta, by angle:
- 14.09°, I = 46.5
- 24.99°, I = 76.0
- 28.41°, I = 100.0
- 29.95°, I = 41.1
- 40.61°, I = 37.7
- 41.75°, I = 65.8
- 48.27°, I = 23.8
- 51.27°, I = 35.8
- 66.54°, I = 24.2
- 74.67°, I = 23.3

```
Rb2SrAuI6
1.0
-4.444 4.444 5.966
4.444 -4.444 5.966
4.444 4.444 -5.966
Rb Sr Au I
2 1 1 6
Cartesian
4.444 0.000 2.983
0.000 4.444 2.983
0.000 0.000 0.000
0.000 0.000 5.966
2.268 2.268 0.000
2.175 -2.175 5.966
0.000 0.000 3.241
0.000 0.000 8.692
-2.175 2.175 5.966
2.175 2.175 5.966
```

Entry 3:
# Rb2TaAuI6
Calculated powder XRD pattern, Cu Kα X-rays. Input: a GGA-PBE-relaxed structure.
Neutral-atom scattering factors, no anomalous dispersion.

Principal peaks in the range 10 to 90 degrees two-theta, by angle:
- 14.47°, I = 67.8
- 15.68°, I = 27.5
- 21.39°, I = 24.3
- 25.92°, I = 48.7
- 29.17°, I = 100.0
- 31.65°, I = 42.1
- 41.72°, I = 35.9
- 43.58°, I = 66.2
- 53.30°, I = 34.8
- 77.45°, I = 20.4

```
Rb2TaAuI6
1.0
-4.330 4.330 5.653
4.330 -4.330 5.653
4.330 4.330 -5.653
Rb Ta Au I
2 1 1 6
Cartesian
4.330 0.000 2.827
0.000 4.330 2.827
0.000 0.000 0.000
0.000 0.000 5.653
1.996 1.996 0.000
2.334 -2.334 5.653
0.000 0.000 2.883
0.000 0.000 8.423
-2.334 2.334 5.653
2.334 2.334 5.653
```

Entry 4:
# Si2RhAuI
Calculated powder XRD pattern, Cu Kα X-rays. Input: a GGA-PBE-relaxed structure.
Neutral-atom scattering factors, no anomalous dispersion.

Principal peaks in the range 10 to 90 degrees two-theta, by angle:
- 23.82°, I = 100.0
- 29.45°, I = 59.1
- 29.93°, I = 77.1
- 34.31°, I = 28.3
- 37.53°, I = 98.6
- 42.52°, I = 35.0
- 46.13°, I = 27.6
- 47.61°, I = 24.9
- 48.73°, I = 81.3
- 57.26°, I = 24.5

```
Si2RhAuI
1.0
18.312 0.000 0.000
0.000 3.077 0.000
-0.792 0.000 3.737
Si Rh Au I
4 2 2 2
Cartesian
0.000 0.000 0.000
1.471 1.539 2.263
9.156 1.539 0.000
10.627 0.000 2.263
8.315 0.000 1.774
17.471 1.539 1.774
2.570 0.000 0.544
11.726 1.539 0.544
5.544 0.000 1.203
14.700 1.539 1.203
```

Entry 5:
# Si2RhAuI
Calculated powder XRD pattern, Cu Kα X-rays. Input: a GGA-PBE-relaxed structure.
Neutral-atom scattering factors, no anomalous dispersion.

Principal peaks in the range 10 to 90 degrees two-theta, by angle:
- 22.95°, I = 40.2
- 24.72°, I = 70.8
- 27.42°, I = 100.0
- 29.44°, I = 64.9
- 31.53°, I = 63.4
- 39.36°, I = 75.2
- 41.56°, I = 36.1
- 45.36°, I = 37.9
- 45.71°, I = 77.9
- 46.90°, I = 30.5

```
Si2RhAuI
1.0
19.519 0.000 0.000
0.000 2.868 0.000
-0.011 0.000 3.874
Si Rh Au I
4 2 2 2
Cartesian
0.000 0.000 0.000
2.677 0.000 1.944
9.760 1.434 0.000
12.436 1.434 1.944
0.651 1.434 1.939
10.411 0.000 1.939
3.494 1.434 0.009
13.253 0.000 0.009
6.928 1.434 3.863
16.688 0.000 3.863
```

Entry 6:
# Si2RhAuI
Calculated powder XRD pattern, Cu Kα X-rays. Input: a GGA-PBE-relaxed structure.
Neutral-atom scattering factors, no anomalous dispersion.

Principal peaks in the range 10 to 90 degrees two-theta, by angle:
- 23.05°, I = 100.0
- 23.14°, I = 70.2
- 25.75°, I = 78.9
- 32.68°, I = 56.1
- 32.84°, I = 78.0
- 34.61°, I = 30.7
- 43.66°, I = 61.0
- 43.87°, I = 57.8
- 45.66°, I = 29.4
- 47.03°, I = 40.2

```
Si2RhAuI
1.0
3.974 0.000 0.000
0.000 3.863 0.000
-1.934 0.000 7.774
Si Rh Au I
2 1 1 1
Cartesian
0.000 0.000 0.000
0.051 1.932 7.621
1.988 0.000 1.269
2.040 1.932 6.118
1.959 1.932 3.299
```

Entry 7:
# Si2RhAuI
Calculated powder XRD pattern, Cu Kα X-rays. Input: a GGA-PBE-relaxed structure.
Neutral-atom scattering factors, no anomalous dispersion.

Principal peaks in the range 10 to 90 degrees two-theta, by angle:
- 10.14°, I = 34.1
- 21.17°, I = 36.7
- 22.19°, I = 54.5
- 30.76°, I = 54.0
- 31.55°, I = 100.0
- 42.90°, I = 23.0
- 43.52°, I = 38.6
- 44.27°, I = 19.4
- 44.40°, I = 18.6
- 45.72°, I = 25.5

```
Si2RhAuI
1.0
3.014 0.000 0.000
-1.496 4.238 0.000
-0.006 -1.221 8.720
Si Rh Au I
2 1 1 1
Cartesian
0.000 0.000 0.000
-0.001 0.656 6.947
0.008 3.040 6.753
0.009 2.320 0.855
0.010 2.867 3.868
```

Entry 8:
# Au4S2I5
Calculated powder XRD pattern, Cu Kα X-rays. Input: a GGA-PBE-relaxed structure.
Neutral-atom scattering factors, no anomalous dispersion.

Principal peaks in the range 10 to 90 degrees two-theta, by angle:
- 10.70°, I = 36.1
- 13.93°, I = 21.5
- 16.56°, I = 28.5
- 21.93°, I = 100.0
- 30.94°, I = 87.8
- 38.25°, I = 88.4
- 45.52°, I = 16.8
- 48.88°, I = 18.0
- 51.08°, I = 21.4
- 55.37°, I = 21.4

```
Au4S2I5
1.0
3.985 0.000 0.000
-0.001 8.393 0.000
-1.991 -2.094 12.161
Au S I
4 2 5
Cartesian
0.000 2.065 0.304
0.000 2.251 8.188
1.993 4.048 3.974
1.993 4.235 11.857
0.000 2.846 11.455
1.993 3.454 0.706
0.000 5.965 3.818
0.001 2.121 4.164
1.993 0.000 0.000
1.991 4.178 7.998
1.993 0.334 8.343
```